Starting from DFT lattice parameters and positions (PBE), the PXRD pattern of Li6Al2Zn was computed for Cu Kα (λ = 1.5418 Å).
No peak broadening, texture or thermal motion is included.

Atomic structure:
abc: 7.7590 7.7590 2.7075
angles: 90.10 90.10 60.57
Positions (direct):
Li (0.1662, 0.8338, 0.0000)
Li (0.1669, 0.5002, 0.9999)
Li (0.5002, 0.1669, 0.9999)
Li (0.4998, 0.8331, 0.0001)
Li (0.8331, 0.4998, 0.0001)
Li (0.8338, 0.1662, 0.0000)
Al (0.1671, 0.1671, 0.5000)
Al (0.8329, 0.8329, 0.5000)
Zn (0.5000, 0.5000, 0.5000)

Peak list (10 most intense, 2θ from 10° to 90°, by angle)
| d/Å | two_theta | Rel. int. |
| --- | --- | --- |
| 6.757 | 13.10 | 52 |
| 6.700 | 13.21 | 25 |
| 3.913 | 22.73 | 51 |
| 3.879 | 22.93 | 100 |
| 2.512 | 35.74 | 15 |
| 2.252 | 40.03 | 45 |
| 2.233 | 40.39 | 22 |
| 2.224 | 40.56 | 71 |
| 2.218 | 40.67 | 35 |
| 1.293 | 73.20 | 19 |